# 1
Structure and computed powder diffraction line list of LiThZn17 (a PBE-relaxed structure; Cu Kα, 1.54184 Å).

Top 10 peaks for 2θ from 10° to 90°, in order of falling intensity:
two_theta  Rel. int.
40.3  100
40.0  60
41.0  53
45.2  47
13.2  41
34.5  37
35.6  34
72.7  27
41.2  25
17.6  24

abc: 6.818 6.818 6.818
angles: 82.73 82.73 82.73
Fractional positions:
Li (0.000, 0.000, 0.000)
Th (0.309, 0.309, 0.309)
Zn (0.152, 0.638, 0.638)
Zn (0.290, 0.290, 0.815)
Zn (0.290, 0.815, 0.290)
Zn (0.345, 0.653, 0.942)
Zn (0.345, 0.942, 0.653)
Zn (0.494, 0.996, 0.996)
Zn (0.551, 0.551, 0.551)
Zn (0.638, 0.152, 0.638)
Zn (0.638, 0.638, 0.152)
Zn (0.653, 0.345, 0.942)
Zn (0.653, 0.942, 0.345)
Zn (0.756, 0.756, 0.756)
Zn (0.815, 0.290, 0.290)
Zn (0.942, 0.345, 0.653)
Zn (0.942, 0.653, 0.345)
Zn (0.996, 0.494, 0.996)
Zn (0.996, 0.996, 0.494)

***

# 2
Structure and computed powder diffraction line list of LiTi (a PBE-relaxed structure; Cu Kα, 1.54184 Å).

Top 10 peaks for 2θ from 10° to 90°, in order of falling intensity:
two_theta  Rel. int.
16.4  100
39.3  56
46.2  35
33.1  25
58.0  15
38.4  12
42.0  12
79.1  10
51.6  10
71.9  8

abc: 2.708 2.708 10.813
angles: 90.00 90.00 120.00
Fractional positions:
Li (0.333, 0.667, 0.000)
Li (0.667, 0.333, 0.500)
Ti (0.333, 0.667, 0.256)
Ti (0.667, 0.333, 0.756)

***

# 3
Structure and computed powder diffraction line list of Li4TiTl5 (a PBE-relaxed structure; Cu Kα, 1.54184 Å).

Top 10 peaks for 2θ from 10° to 90°, in order of falling intensity:
two_theta  Rel. int.
36.2  100
26.6  85
24.2  53
37.9  45
45.5  41
67.4  33
57.1  21
64.1  19
60.7  18
61.8  17

abc: 3.354 3.354 18.395
angles: 90.00 90.00 90.00
Fractional positions:
Li (0.000, 0.000, 0.104)
Li (0.000, 0.000, 0.304)
Li (0.000, 0.000, 0.696)
Li (0.000, 0.000, 0.896)
Ti (0.000, 0.000, 0.500)
Tl (0.500, 0.500, 0.000)
Tl (0.500, 0.500, 0.204)
Tl (0.500, 0.500, 0.399)
Tl (0.500, 0.500, 0.601)
Tl (0.500, 0.500, 0.796)

***

# 4
Structure and computed powder diffraction line list of Li3Tl4 (a PBE-relaxed structure; Cu Kα, 1.54184 Å).

Top 10 peaks for 2θ from 10° to 90°, in order of falling intensity:
two_theta  Rel. int.
35.9  100
26.4  93
33.9  76
15.0  49
30.5  43
62.0  42
58.6  41
48.7  28
56.3  24
37.3  22

abc: 12.068 12.068 12.068
angles: 162.18 162.18 25.31
Fractional positions:
Li (0.000, 0.000, 0.000)
Li (0.285, 0.285, 0.000)
Li (0.715, 0.715, 0.000)
Tl (0.160, 0.160, 0.000)
Tl (0.427, 0.427, 0.000)
Tl (0.573, 0.573, 0.000)
Tl (0.840, 0.840, 0.000)

***

# 5
Structure and computed powder diffraction line list of LiTl (a PBE-relaxed structure; Cu Kα, 1.54184 Å).

Top 10 peaks for 2θ from 10° to 90°, in order of falling intensity:
two_theta  Rel. int.
35.9  100
22.5  75
27.6  54
39.5  40
62.1  35
51.7  28
59.6  22
89.4  16
69.3  14
48.9  13

abc: 5.590 5.590 5.590
angles: 90.00 90.00 90.00
Fractional positions:
Li (0.100, 0.400, 0.600)
Li (0.400, 0.600, 0.100)
Li (0.600, 0.100, 0.400)
Li (0.900, 0.900, 0.900)
Tl (0.092, 0.908, 0.408)
Tl (0.408, 0.092, 0.908)
Tl (0.592, 0.592, 0.592)
Tl (0.908, 0.408, 0.092)

***

# 6
Structure and computed powder diffraction line list of Li5Tl24 (a PBE-relaxed structure; Cu Kα, 1.54184 Å).

Top 10 peaks for 2θ from 10° to 90°, in order of falling intensity:
two_theta  Rel. int.
31.7  100
35.2  53
38.3  52
56.5  37
18.1  25
57.6  19
66.2  15
29.8  14
73.3  14
21.0  13

abc: 10.370 10.370 10.370
angles: 109.47 109.47 109.47
Fractional positions:
Li (0.000, 0.000, 0.000)
Li (0.000, 0.000, 0.345)
Li (0.000, 0.345, 0.000)
Li (0.345, 0.000, 0.000)
Li (0.655, 0.655, 0.655)
Tl (0.000, 0.312, 0.595)
Tl (0.000, 0.595, 0.312)
Tl (0.000, 0.629, 0.810)
Tl (0.000, 0.810, 0.629)
Tl (0.181, 0.371, 0.371)
Tl (0.190, 0.190, 0.819)
Tl (0.190, 0.819, 0.190)
Tl (0.283, 0.688, 0.688)
Tl (0.312, 0.000, 0.595)
Tl (0.312, 0.595, 0.000)
Tl (0.371, 0.181, 0.371)
Tl (0.371, 0.371, 0.181)
Tl (0.405, 0.405, 0.717)
Tl (0.405, 0.717, 0.405)
Tl (0.595, 0.000, 0.312)
Tl (0.595, 0.312, 0.000)
Tl (0.629, 0.000, 0.810)
Tl (0.629, 0.810, 0.000)
Tl (0.688, 0.283, 0.688)
Tl (0.688, 0.688, 0.283)
Tl (0.717, 0.405, 0.405)
Tl (0.810, 0.000, 0.629)
Tl (0.810, 0.629, 0.000)
Tl (0.819, 0.190, 0.190)

***

# 7
Structure and computed powder diffraction line list of Li2Tl (a PBE-relaxed structure; Cu Kα, 1.54184 Å).

Top 10 peaks for 2θ from 10° to 90°, in order of falling intensity:
two_theta  Rel. int.
26.5  100
21.5  42
37.8  35
26.3  35
37.7  34
37.7  31
46.7  30
15.2  24
68.3  19
61.6  15

abc: 4.773 4.773 5.834
angles: 90.32 90.32 59.76
Fractional positions:
Li (0.000, 0.000, 0.000)
Li (0.000, 0.000, 0.500)
Li (0.333, 0.333, 0.675)
Li (0.667, 0.667, 0.325)
Tl (0.334, 0.334, 0.178)
Tl (0.666, 0.666, 0.822)

***

# 8
Structure and computed powder diffraction line list of LiTl5 (a PBE-relaxed structure; Cu Kα, 1.54184 Å).

Top 10 peaks for 2θ from 10° to 90°, in order of falling intensity:
two_theta  Rel. int.
33.5  100
32.5  50
58.6  29
31.6  22
60.4  17
46.6  15
61.5  13
26.5  12
50.7  11
49.4  9

abc: 8.708 8.708 3.687
angles: 90.00 90.00 143.11
Fractional positions:
Li (0.000, 0.000, 0.000)
Tl (0.145, 0.855, 0.500)
Tl (0.320, 0.680, 0.000)
Tl (0.500, 0.500, 0.500)
Tl (0.680, 0.320, 0.000)
Tl (0.855, 0.145, 0.500)

***

# 9
Structure and computed powder diffraction line list of Li3Tl7 (a PBE-relaxed structure; Cu Kα, 1.54184 Å).

Top 10 peaks for 2θ from 10° to 90°, in order of falling intensity:
two_theta  Rel. int.
33.7  100
32.9  100
26.7  69
34.8  68
36.5  66
30.1  40
39.6  38
32.2  35
28.8  33
60.0  31

abc: 8.447 8.447 6.542
angles: 101.23 101.23 33.85
Fractional positions:
Li (0.000, 0.000, 0.000)
Li (0.182, 0.182, 0.672)
Li (0.818, 0.818, 0.328)
Tl (0.000, 0.000, 0.500)
Tl (0.207, 0.207, 0.143)
Tl (0.364, 0.364, 0.607)
Tl (0.420, 0.420, 0.144)
Tl (0.580, 0.580, 0.856)
Tl (0.636, 0.636, 0.393)
Tl (0.793, 0.793, 0.857)

***

# 10
Structure and computed powder diffraction line list of LiTl (a PBE-relaxed structure; Cu Kα, 1.54184 Å).

Top 10 peaks for 2θ from 10° to 90°, in order of falling intensity:
two_theta  Rel. int.
26.1  100
11.6  77
28.3  71
37.0  46
37.2  46
44.1  38
40.7  33
50.5  31
69.4  24
33.1  22

abc: 7.821 7.821 7.821
angles: 92.54 92.54 155.68
Fractional positions:
Li (0.090, 0.360, 0.449)
Li (0.360, 0.910, 0.270)
Li (0.640, 0.090, 0.730)
Li (0.910, 0.640, 0.551)
Tl (0.107, 0.822, 0.929)
Tl (0.178, 0.107, 0.285)
Tl (0.822, 0.893, 0.715)
Tl (0.893, 0.178, 0.071)

***

# 11
Structure and computed powder diffraction line list of Li5Tl2 (a PBE-relaxed structure; Cu Kα, 1.54184 Å).

Top 10 peaks for 2θ from 10° to 90°, in order of falling intensity:
two_theta  Rel. int.
23.8  100
24.1  22
37.2  21
27.9  18
47.0  17
48.8  16
42.2  16
39.1  15
30.4  15
41.8  14

abc: 7.945 7.945 7.945
angles: 124.53 72.98 136.55
Fractional positions:
Li (0.024, 0.250, 0.774)
Li (0.102, 0.679, 0.781)
Li (0.250, 0.250, 0.000)
Li (0.398, 0.179, 0.577)
Li (0.476, 0.250, 0.226)
Li (0.524, 0.750, 0.774)
Li (0.602, 0.821, 0.423)
Li (0.750, 0.750, 0.000)
Li (0.898, 0.321, 0.219)
Li (0.976, 0.750, 0.226)
Tl (0.126, 0.284, 0.410)
Tl (0.374, 0.784, 0.159)
Tl (0.626, 0.216, 0.841)
Tl (0.874, 0.716, 0.590)

***

# 12
Structure and computed powder diffraction line list of Li3Tl4 (a PBE-relaxed structure; Cu Kα, 1.54184 Å).

Top 10 peaks for 2θ from 10° to 90°, in order of falling intensity:
two_theta  Rel. int.
26.0  100
36.9  45
37.3  40
45.7  23
60.1  20
60.6  17
66.7  15
53.4  15
66.4  8
84.3  8

abc: 8.326 8.326 8.326
angles: 34.04 34.04 34.04
Fractional positions:
Li (0.000, 0.000, 0.000)
Li (0.254, 0.254, 0.254)
Li (0.746, 0.746, 0.746)
Tl (0.129, 0.129, 0.129)
Tl (0.382, 0.382, 0.382)
Tl (0.618, 0.618, 0.618)
Tl (0.871, 0.871, 0.871)